Record 1
This entry pairs a crystal structure of Ca4Ni3C5 with its calculated X-ray diffraction stick pattern. Radiation: Cu Kα (λ = 1.5418 Å). Structure: a crystal structure in the Materials Project, relaxed with GGA-PBE.
Kinematic intensities with the Lorentz-polarization factor, no thermal factor.

Largest 8 diffraction maxima, low angle first, 2θ = 15–90°:
- 2θ = 17.31°, intensity 59
- 2θ = 33.94°, intensity 77
- 2θ = 34.27°, intensity 100
- 2θ = 36.55°, intensity 69
- 2θ = 39.40°, intensity 46
- 2θ = 39.68°, intensity 36
- 2θ = 40.17°, intensity 40
- 2θ = 48.35°, intensity 42

Atomic structure:
Cell lengths 5.869, 5.869, 9.791 Å; angles 111.61, 111.61, 37.41 degrees
Positions (direct):
Ca 0.101 0.101 0.399
Ca 0.256 0.256 0.837
Ca 0.744 0.744 0.163
Ca 0.899 0.899 0.601
Ni 0.000 0.000 0.000
Ni 0.458 0.458 0.164
Ni 0.542 0.542 0.836
C 0.327 0.327 0.390
C 0.398 0.398 0.311
C 0.500 0.500 0.000
C 0.602 0.602 0.689
C 0.673 0.673 0.610

***

Record 2
This entry pairs a crystal structure of W2C with its calculated X-ray diffraction stick pattern. Radiation: Cu Kα (λ = 1.5418 Å). Structure: a crystal structure in the Materials Project, relaxed with GGA-PBE.
Kinematic intensities with the Lorentz-polarization factor, no thermal factor.

Largest 8 diffraction maxima, low angle first, 2θ = 15–90°:
- 2θ = 33.97°, intensity 20
- 2θ = 37.83°, intensity 34
- 2θ = 39.03°, intensity 100
- 2θ = 39.27°, intensity 47
- 2θ = 51.74°, intensity 15
- 2θ = 61.14°, intensity 19
- 2θ = 69.12°, intensity 19
- 2θ = 74.19°, intensity 19

Atomic structure:
Cell lengths 4.756, 6.111, 5.237 Å; angles 90.00, 90.00, 90.00 degrees
Positions (direct):
W 0.245 0.124 0.081
W 0.245 0.876 0.581
W 0.255 0.376 0.581
W 0.255 0.624 0.081
W 0.745 0.376 0.919
W 0.745 0.624 0.419
W 0.755 0.124 0.419
W 0.755 0.876 0.919
C 0.000 0.378 0.250
C 0.000 0.622 0.750
C 0.500 0.122 0.750
C 0.500 0.878 0.250

***

Record 3
This entry pairs a crystal structure of CaGa3Pt with its calculated X-ray diffraction stick pattern. Radiation: Cu Kα (λ = 1.5418 Å). Structure: a crystal structure in the Materials Project, relaxed with GGA-PBE.
Kinematic intensities with the Lorentz-polarization factor, no thermal factor.

Largest 8 diffraction maxima, low angle first, 2θ = 15–90°:
- 2θ = 15.93°, intensity 37
- 2θ = 22.47°, intensity 100
- 2θ = 32.09°, intensity 58
- 2θ = 34.01°, intensity 71
- 2θ = 42.71°, intensity 62
- 2θ = 44.46°, intensity 70
- 2θ = 46.08°, intensity 41
- 2θ = 64.63°, intensity 29

Atomic structure:
Cell lengths 6.317, 6.317, 6.317 Å; angles 140.84, 140.84, 56.58 degrees
Positions (direct):
Ca 0.000 0.000 0.000
Ga 0.255 0.755 0.500
Ga 0.607 0.607 0.000
Ga 0.755 0.255 0.500
Pt 0.383 0.383 0.000

***

Record 4
This entry pairs a crystal structure of Ba2NdNbO6 with its calculated X-ray diffraction stick pattern. Radiation: Cu Kα (λ = 1.5418 Å). Structure: a crystal structure in the Materials Project, relaxed with GGA-PBE.
Kinematic intensities with the Lorentz-polarization factor, no thermal factor.

Largest 8 diffraction maxima, low angle first, 2θ = 15–90°:
- 2θ = 28.90°, intensity 32
- 2θ = 29.03°, intensity 68
- 2θ = 29.18°, intensity 100
- 2θ = 41.51°, intensity 39
- 2θ = 41.77°, intensity 18
- 2θ = 51.19°, intensity 14
- 2θ = 51.55°, intensity 28
- 2θ = 51.73°, intensity 35

Atomic structure:
Cell lengths 6.118, 6.118, 6.179 Å; angles 119.96, 119.96, 60.11 degrees
Positions (direct):
Ba 0.248 0.248 0.243
Ba 0.752 0.752 0.757
Nd 0.000 0.000 0.500
Nb 0.500 0.500 0.000
O 0.231 0.699 0.195
O 0.270 0.270 0.705
O 0.301 0.769 0.805
O 0.699 0.231 0.195
O 0.730 0.730 0.295
O 0.769 0.301 0.805